[1]
Ho4Er3Th5: computed X-ray powder pattern (Cu Kα (weighted mean of Kα1 and Kα2)), based on DFT lattice parameters and positions (GGA-PBE).
No peak broadening, texture or thermal motion is included.

The 10 most intense peaks (10 to 80 degrees two-theta), low angle first:
2theta	I (rel.)
28.82	43
30.99	97
31.21	63
31.66	87
31.77	100
33.91	26
34.20	43
44.56	48
44.97	35
55.57	35

Atomic structure:
```
12
Lattice="4.8860 -2.8855 0.0000 4.8860 2.8855 0.0000 -4.6313 0.0000 13.9674" Properties=species:S:1:pos:R:3 pbc="T T T"
Ho 1.6410 0.0000 0.0881
Ho 0.2148 0.0000 8.9920
Ho 4.9259 0.0000 4.9754
Ho 3.4997 0.0000 13.8793
Er -2.9895 0.0000 10.5397
Er 2.5703 0.0000 6.9837
Er 8.1301 0.0000 3.4276
Th -2.3156 0.0000 6.9837
Th 1.6814 0.0000 3.6258
Th 0.2617 0.0000 12.2633
Th 4.8789 0.0000 1.7041
Th 3.4592 0.0000 10.3416
```

---

[2]
Ho2Er2Th3: computed X-ray powder pattern (Cu Kα (weighted mean of Kα1 and Kα2)), based on DFT lattice parameters and positions (GGA-PBE).
No peak broadening, texture or thermal motion is included.

The 10 most intense peaks (10 to 80 degrees two-theta), low angle first:
2theta	I (rel.)
27.88	53
31.08	100
31.20	80
32.68	64
34.18	68
36.30	44
39.14	31
53.69	26
55.98	26
62.67	45

Atomic structure:
```
7
Lattice="8.6731 -1.7307 0.0000 8.6731 1.7307 0.0000 -3.8573 0.0000 7.4617" Properties=species:S:1:pos:R:3 pbc="T T T"
Ho -0.3751 0.0000 3.0211
Ho 13.8640 0.0000 4.4406
Er 5.4784 0.0000 1.2531
Er 8.0105 0.0000 6.2086
Th 2.2593 0.0000 5.2726
Th 8.6731 0.0000 0.0000
Th 11.2296 0.0000 2.1891
```

---

[3]
Ho6ErTh2: computed X-ray powder pattern (Cu Kα (weighted mean of Kα1 and Kα2)), based on DFT lattice parameters and positions (GGA-PBE).
No peak broadening, texture or thermal motion is included.

The 10 most intense peaks (10 to 80 degrees two-theta), low angle first:
2theta	I (rel.)
29.37	95
30.29	49
31.88	100
34.13	42
35.48	97
42.03	28
52.11	62
59.05	36
60.93	43
62.38	34

Atomic structure:
```
9
Lattice="3.5118 0.0000 0.0000 -1.7559 3.0413 0.0000 0.0000 0.0000 36.4852" Properties=species:S:1:pos:R:3 pbc="T T T"
Ho 0.0000 0.0000 2.8491
Ho 0.0000 0.0000 33.6362
Ho 1.7559 1.0138 5.6422
Ho 1.7559 1.0138 8.9897
Ho 1.7559 1.0138 27.4955
Ho 1.7559 1.0138 30.8430
Er 1.7559 1.0138 0.0000
Th 0.0000 0.0000 11.7442
Th 0.0000 0.0000 24.7411
```

---

[4]
HoEr10Th4: computed X-ray powder pattern (Cu Kα (weighted mean of Kα1 and Kα2)), based on DFT lattice parameters and positions (GGA-PBE).
No peak broadening, texture or thermal motion is included.

The 10 most intense peaks (10 to 80 degrees two-theta), low angle first:
2theta	I (rel.)
28.03	64
30.97	51
31.90	97
32.33	100
34.30	31
35.76	28
41.36	39
54.19	25
67.67	30
68.10	27

Atomic structure:
```
15
Lattice="-5.6113 5.6113 3.8654 5.6113 -5.6113 3.8654 5.6113 5.6113 -3.8654" Properties=species:S:1:pos:R:3 pbc="T T T"
Ho 0.0000 0.0000 0.0000
Er 5.6113 3.2696 -1.6049
Er 5.6113 0.0000 1.9327
Er 3.2696 5.6113 -1.6049
Er 2.3416 0.0000 2.2605
Er 5.6113 3.2696 1.6049
Er 0.0000 2.3416 2.2605
Er 3.2696 5.6113 1.6049
Er 2.3416 0.0000 5.4703
Er 0.0000 5.6113 1.9327
Er 0.0000 2.3416 5.4703
Th 2.5554 2.5554 0.0000
Th 3.0559 -3.0559 3.8654
Th -3.0559 3.0559 3.8654
Th 3.0559 3.0559 3.8654
```

---

[5]
Ho8Er2Th3: computed X-ray powder pattern (Cu Kα (weighted mean of Kα1 and Kα2)), based on DFT lattice parameters and positions (GGA-PBE).
No peak broadening, texture or thermal motion is included.

The 10 most intense peaks (10 to 80 degrees two-theta), low angle first:
2theta	I (rel.)
24.23	20
31.16	100
31.99	100
32.63	47
36.09	15
37.15	27
40.49	15
56.46	23
60.38	14
63.59	15

Atomic structure:
```
13
Lattice="-2.7989 3.3831 11.0206 2.7989 -3.3831 11.0206 2.7989 3.3831 -11.0206" Properties=species:S:1:pos:R:3 pbc="T T T"
Ho 0.0000 0.0000 1.6548
Ho 2.7989 1.6112 -3.3354
Ho 2.7989 0.0000 6.9363
Ho 2.7989 1.6112 3.3354
Ho 0.0000 1.7719 7.6853
Ho 0.0000 3.3831 4.0843
Ho 0.0000 1.7719 14.3560
Ho 0.0000 0.0000 20.3864
Er 0.0000 0.0000 4.9229
Er 0.0000 0.0000 17.1184
Th 2.7989 1.5695 0.0000
Th 0.0000 3.3831 0.0000
Th 0.0000 1.8136 11.0206
```

---

[6]
Ho5Er6Th2: computed X-ray powder pattern (Cu Kα (weighted mean of Kα1 and Kα2)), based on DFT lattice parameters and positions (GGA-PBE).
No peak broadening, texture or thermal motion is included.

The 10 most intense peaks (10 to 80 degrees two-theta), low angle first:
2theta	I (rel.)
29.54	25
31.55	74
31.74	100
32.56	94
34.64	55
35.37	25
37.12	28
51.75	31
52.43	24
61.92	40

Atomic structure:
```
26
Lattice="11.4539 0.0000 0.0000 0.0000 20.3841 0.0000 0.0000 0.0000 3.5335" Properties=species:S:1:pos:R:3 pbc="T T T"
Ho 0.0000 0.0000 0.0000
Ho 0.8494 5.9187 0.0000
Ho 2.2200 11.6707 0.0000
Ho 3.5069 1.4787 0.0000
Ho 4.8775 16.1108 0.0000
Ho 5.7270 10.1921 0.0000
Ho 6.5764 4.2733 0.0000
Ho 7.9470 18.9054 0.0000
Ho 9.2339 8.7134 0.0000
Ho 10.6045 14.4654 0.0000
Er 0.7499 2.9593 1.7668
Er 0.8467 8.8519 1.7668
Er 2.1238 17.8804 0.0000
Er 3.6032 7.6884 0.0000
Er 4.8802 19.0440 1.7668
Er 4.9771 13.1513 1.7668
Er 6.4768 7.2328 1.7668
Er 6.5737 1.3402 1.7668
Er 7.8507 12.6958 0.0000
Er 9.3301 2.5037 0.0000
Er 10.6072 11.5322 1.7668
Er 10.7040 17.4249 1.7668
Th 2.1028 14.9267 1.7668
Th 3.6241 4.7347 1.7668
Th 7.8298 15.6494 1.7668
Th 9.3511 5.4574 1.7668
```